Simulated powder X-ray diffraction pattern
Compound: Cs3LaV2O8
Radiation: CuKα
Structure: the PBE+U geometry in Alexandria
Lines closer than 0.1° are merged.

Atomic structure:
Cell: 6.3243 6.3243 8.4991 Å, 90.00 90.00 120.00°
Element x y z (fractional)
Cs (0.0000, 0.0000, 0.0000)
Cs (0.3333, 0.6667, 0.7236)
Cs (0.6667, 0.3333, 0.2764)
La (0.0000, 0.0000, 0.5000)
V (0.3333, 0.6667, 0.2676)
V (0.6667, 0.3333, 0.7324)
O (0.1804, 0.3607, 0.3351)
O (0.1804, 0.8196, 0.3351)
O (0.3333, 0.6667, 0.0686)
O (0.3607, 0.1804, 0.6649)
O (0.6393, 0.8196, 0.3351)
O (0.6667, 0.3333, 0.9314)
O (0.8196, 0.1804, 0.6649)
O (0.8196, 0.6393, 0.6649)

Principal peaks in the range 10° ≤ 2θ ≤ 80°, by intensity:
hkl 0 1 2, 26.5 deg, d 3.357, I = 100
hkl 1 1 0, 28.2 deg, d 3.162, I = 93
hkl 2 0 2, 39.1 deg, d 2.302, I = 43
hkl 1 2 2, 48.9 deg, d 1.861, I = 35
hkl 1 1 4, 51.8 deg, d 1.764, I = 27
hkl 3 0 0, 50.0 deg, d 1.826, I = 18